This entry pairs a crystal structure of Li9Mn2Co5O16 with its calculated X-ray powder pattern. Radiation: Cu Kα. Structure: a crystal structure in the Materials Project, relaxed with PBE+U.

Main lines, most intense first (2θ from 10° to 90°):
2θ = 18.30°, rel. 100
2θ = 43.09°, rel. 29
2θ = 43.44°, rel. 28
2θ = 44.04°, rel. 26
2θ = 63.04°, rel. 22
2θ = 35.64°, rel. 14
2θ = 35.94°, rel. 14
2θ = 36.32°, rel. 13

Structural model:
Cell: 5.070 7.766 7.816 Å, 97.43 101.86 103.48°
Element x y z (fractional)
1 Li 0.000 0.000 0.000
2 Li 0.000 0.265 0.757
3 Li 0.000 0.632 0.879
4 Li 0.002 0.510 0.511
5 Li 0.489 0.878 0.122
6 Li 0.497 0.633 0.379
7 Li 0.499 0.133 0.877
8 Li 0.512 0.388 0.637
9 Li 0.996 0.756 0.246
10 Mn 0.499 0.008 0.504
11 Mn 0.501 0.509 0.000
12 Co 0.002 0.135 0.379
13 Co 0.491 0.758 0.762
14 Co 0.502 0.258 0.251
15 Co 0.994 0.873 0.633
16 Co 0.999 0.391 0.121
17 O 0.242 0.364 0.371
18 O 0.251 0.114 0.614
19 O 0.255 0.612 0.124
20 O 0.258 0.879 0.865
21 O 0.259 0.271 0.010
22 O 0.264 0.013 0.271
23 O 0.265 0.774 0.508
24 O 0.274 0.510 0.769
25 O 0.726 0.743 0.999
26 O 0.734 0.503 0.237
27 O 0.736 0.006 0.732
28 O 0.736 0.245 0.498
29 O 0.736 0.390 0.894
30 O 0.749 0.905 0.386
31 O 0.754 0.150 0.139
32 O 0.754 0.653 0.629

This entry pairs a crystal structure of MgFe2Mo2Cl2O8 with its calculated X-ray powder pattern. Radiation: Cu Kα. Structure: a crystal structure in the Materials Project, relaxed with PBE+U.

Main lines, most intense first (2θ from 10° to 90°):
2θ = 23.68°, rel. 100
2θ = 26.06°, rel. 69
2θ = 25.12°, rel. 61
2θ = 15.23°, rel. 54
2θ = 35.90°, rel. 31
2θ = 35.80°, rel. 30
2θ = 36.51°, rel. 22
2θ = 20.04°, rel. 22

Structural model:
Cell: 5.819 6.837 7.090 Å, 89.97 89.74 89.95°
Element x y z (fractional)
1 Mg 0.000 0.000 0.000
2 Fe 0.165 0.500 0.163
3 Fe 0.632 0.000 0.676
4 Mo 0.390 0.500 0.668
5 Mo 0.440 0.000 0.168
6 Cl 0.060 0.000 0.675
7 Cl 0.750 0.502 0.169
8 O 0.201 0.500 0.868
9 O 0.230 0.193 0.128
10 O 0.231 0.807 0.127
11 O 0.239 0.500 0.446
12 O 0.565 0.000 0.390
13 O 0.565 0.716 0.684
14 O 0.566 0.284 0.684
15 O 0.667 0.001 0.990

This entry pairs a crystal structure of CrO3 with its calculated X-ray powder pattern. Radiation: Cu Kα. Structure: a crystal structure in the Materials Project, relaxed with PBE+U.

Main lines, most intense first (2θ from 10° to 90°):
2θ = 19.95°, rel. 100
2θ = 24.32°, rel. 90
2θ = 25.17°, rel. 56
2θ = 30.66°, rel. 29
2θ = 37.11°, rel. 24
2θ = 18.88°, rel. 19
2θ = 36.85°, rel. 18
2θ = 35.54°, rel. 16

Structural model:
Cell: 5.831 5.336 5.336 Å, 123.49 90.00 90.00°
Element x y z (fractional)
1 Cr 0.250 0.089 0.911
2 Cr 0.750 0.911 0.089
3 O 0.000 0.888 0.888
4 O 0.250 0.136 0.642
5 O 0.250 0.408 0.221
6 O 0.500 0.888 0.888
7 O 0.750 0.221 0.408
8 O 0.750 0.642 0.136